For AcNd6Ho3, a DFT-relaxed cell (GGA-PBE, Alexandria) gives the calculated X-ray diffraction stick pattern in this record (Cu Kα).
Neutral-atom scattering factors, no anomalous dispersion.

Largest 12 diffraction maxima, in order of rising 2θ, 2θ from 10° to 90°:
| 2theta | I_rel |
| --- | --- |
| 28.2 | 214 |
| 29.2 | 518 |
| 30.2 | 1000 |
| 31.5 | 197 |
| 32.0 | 544 |
| 32.1 | 570 |
| 34.3 | 162 |
| 46.6 | 162 |
| 49.1 | 177 |
| 56.1 | 180 |
| 58.2 | 155 |
| 58.8 | 196 |

Cell and atoms:
abc: 12.8763 3.7096 14.8108
angles: 90.00 96.38 90.00
Space group P2_1/m (No. 11)
Symmetry-distinct sites (fractional):
Ac1 0.1564 0.2500 0.3672 [2 per cell]
Nd1 0.1002 0.2500 0.0352 [2 per cell]
Nd2 0.1097 0.7500 0.5846 [2 per cell]
Nd3 0.2604 0.7500 0.1822 [2 per cell]
Nd4 0.2737 0.7500 0.9256 [2 per cell]
Nd5 0.3350 0.2500 0.7288 [2 per cell]
Nd6 0.3718 0.7500 0.5076 [2 per cell]
Ho1 0.0470 0.2500 0.7934 [2 per cell]
Ho2 0.4387 0.2500 0.3185 [2 per cell]
Ho3 0.4622 0.2500 0.0929 [2 per cell]

***

For Th3GaFe, a DFT-relaxed cell (GGA-PBE, Alexandria) gives the calculated X-ray diffraction stick pattern in this record (Cu Kα).
Neutral-atom scattering factors, no anomalous dispersion.

Largest 12 diffraction maxima, in order of rising 2θ, 2θ from 10° to 90°:
| 2theta | I_rel |
| --- | --- |
| 26.7 | 221 |
| 27.6 | 565 |
| 29.3 | 1000 |
| 35.9 | 228 |
| 36.3 | 966 |
| 37.7 | 327 |
| 44.7 | 267 |
| 47.2 | 250 |
| 51.1 | 188 |
| 55.5 | 171 |
| 61.9 | 278 |
| 62.3 | 267 |

Cell and atoms:
abc: 3.8515 6.8312 10.0103
angles: 90.00 90.00 90.00
Space group Pmmn (No. 59, origin choice 2)
Symmetry-distinct sites (fractional):
Th1 0.2500 0.0052 0.1545 [4 per cell]
Th2 0.2500 0.2500 0.5848 [2 per cell]
Ga1 0.2500 0.7500 0.6513 [2 per cell]
Fe1 0.2500 0.2500 0.9044 [2 per cell]

***

For Dy6TmTh4, a DFT-relaxed cell (GGA-PBE, Alexandria) gives the calculated X-ray diffraction stick pattern in this record (Cu Kα).
Neutral-atom scattering factors, no anomalous dispersion.

Largest 12 diffraction maxima, in order of rising 2θ, 2θ from 10° to 90°:
| 2theta | I_rel |
| --- | --- |
| 27.1 | 257 |
| 28.9 | 176 |
| 30.7 | 659 |
| 31.5 | 1000 |
| 32.0 | 153 |
| 33.9 | 391 |
| 36.5 | 372 |
| 41.4 | 170 |
| 55.1 | 199 |
| 56.7 | 214 |
| 63.0 | 142 |
| 63.5 | 261 |

Cell and atoms:
abc: 3.4197 5.8271 35.7084
angles: 90.00 90.00 90.00
Space group Immm (No. 71)
Symmetry-distinct sites (fractional):
Dy1 0.0000 0.0000 0.0951 [4 per cell]
Dy2 0.0000 0.0000 0.2672 [4 per cell]
Dy3 0.0000 0.0000 0.3688 [4 per cell]
Tm1 0.0000 0.5000 0.5000 [2 per cell]
Th1 0.0000 0.5000 0.0436 [4 per cell]
Th2 0.0000 0.5000 0.3182 [4 per cell]

***

For CaYGaIr, a DFT-relaxed cell (GGA-PBE, Alexandria) gives the calculated X-ray diffraction stick pattern in this record (Cu Kα).
Neutral-atom scattering factors, no anomalous dispersion.

Largest 12 diffraction maxima, in order of rising 2θ, 2θ from 10° to 90°:
| 2theta | I_rel |
| --- | --- |
| 15.7 | 838 |
| 23.1 | 408 |
| 31.7 | 158 |
| 32.0 | 1000 |
| 32.3 | 298 |
| 38.9 | 439 |
| 39.3 | 860 |
| 44.1 | 245 |
| 44.6 | 238 |
| 60.2 | 240 |
| 61.8 | 168 |
| 79.4 | 162 |

Cell and atoms:
abc: 4.0660 4.1033 11.2836
angles: 90.00 90.00 90.00
Space group Amm2 (No. 38)
Symmetry-distinct sites (fractional):
Ca1 0.0000 0.0000 0.0000 [2 per cell]
Y1 0.5000 0.0000 0.2898 [2 per cell]
Ga1 0.5000 0.0000 0.5880 [2 per cell]
Ir1 0.0000 0.0000 0.7247 [2 per cell]

***

For LiAlPO4F, a DFT-relaxed cell (GGA-PBE, Alexandria) gives the calculated X-ray diffraction stick pattern in this record (Cu Kα).
Neutral-atom scattering factors, no anomalous dispersion.

Largest 12 diffraction maxima, in order of rising 2θ, 2θ from 10° to 90°:
| 2theta | I_rel |
| --- | --- |
| 18.8 | 840 |
| 19.0 | 488 |
| 27.0 | 870 |
| 27.6 | 291 |
| 27.8 | 928 |
| 27.9 | 558 |
| 29.9 | 1000 |
| 35.4 | 245 |
| 37.5 | 283 |
| 46.5 | 276 |
| 47.2 | 224 |
| 52.1 | 241 |

Cell and atoms:
abc: 5.1276 5.1961 7.0390
angles: 107.95 107.45 98.30
Space group P-1 (No. 2)
Symmetry-distinct sites (fractional):
Li1 0.2251 0.3780 0.2331 [2 per cell]
Al1 0.5000 0.0000 0.0000 [1 per cell]
Al2 0.5000 0.0000 0.5000 [1 per cell]
P1 0.1746 0.3507 0.7528 [2 per cell]
O1 0.1390 0.7608 0.3963 [2 per cell]
O2 0.2046 0.6672 0.8670 [2 per cell]
O3 0.2419 0.2067 0.9184 [2 per cell]
O4 0.3783 0.3146 0.6273 [2 per cell]
F1 0.4136 0.0787 0.2493 [2 per cell]

***

For Tl2CuBr6, a DFT-relaxed cell (GGA-PBE, Alexandria) gives the calculated X-ray diffraction stick pattern in this record (Cu Kα).
Neutral-atom scattering factors, no anomalous dispersion.

Largest 12 diffraction maxima, in order of rising 2θ, 2θ from 10° to 90°:
| 2theta | I_rel |
| --- | --- |
| 14.5 | 988 |
| 17.8 | 695 |
| 22.7 | 499 |
| 23.1 | 318 |
| 27.9 | 378 |
| 28.3 | 757 |
| 35.7 | 483 |
| 36.1 | 1000 |
| 38.6 | 239 |
| 43.9 | 511 |
| 44.9 | 228 |
| 58.6 | 227 |

Cell and atoms:
abc: 7.0471 7.0407 14.0849
angles: 90.00 118.66 90.00
Space group P2_1/c (No. 14)
Symmetry-distinct sites (fractional):
Tl1 0.1848 0.0269 0.1865 [4 per cell]
Cu1 0.5000 0.0000 0.0000 [2 per cell]
Br1 0.1791 0.7394 0.8408 [4 per cell]
Br2 0.2063 0.1932 0.9946 [4 per cell]
Br3 0.4958 0.2103 0.8456 [4 per cell]